Structure and simulated XRD peak list of SmCdIn (DFT lattice parameters and positions (PBE); Cu Ka).
Peak positions follow from Bragg's law for the DFT cell and can differ from measured ones.

Largest 10 diffraction maxima, low angle first, 2θ from 10° to 80°:
2theta	I/Imax
23.97	8.3
31.48	100.0
36.65	77.3
41.31	15.5
49.07	28.6
61.50	15.7
62.78	27.0
65.99	13.3
69.16	6.4
77.93	8.3

Structural model:
Cell: 4.904 4.904 7.647 Å, 90.00 90.00 120.00°
Element x y z (fractional)
Sm 0.000 0.000 0.239
Sm 0.000 0.000 0.761
Cd 0.333 0.667 0.972
Cd 0.667 0.333 0.028
In 0.333 0.667 0.552
In 0.667 0.333 0.448


Structure and simulated XRD peak list of Sr2CdIn (DFT lattice parameters and positions (PBE); Cu Ka).
Peak positions follow from Bragg's law for the DFT cell and can differ from measured ones.

Largest 8 diffraction maxima, low angle first, 2θ from 10° to 80°:
2theta	I/Imax
21.78	2.2
30.99	100.0
38.20	0.7
44.40	18.2
49.97	0.9
55.13	37.8
64.59	11.6
73.36	15.9

Structural model:
Cell: 5.771 5.771 5.771 Å, 60.00 60.00 60.00°
Element x y z (fractional)
Sr 0.250 0.250 0.250
Sr 0.750 0.750 0.750
Cd 0.000 0.000 0.000
In 0.500 0.500 0.500


Structure and simulated XRD peak list of CdIn2Te4 (DFT lattice parameters and positions (PBE); Cu Ka).
Peak positions follow from Bragg's law for the DFT cell and can differ from measured ones.

Largest 10 diffraction maxima, low angle first, 2θ from 10° to 80°:
2theta	I/Imax
24.12	100.0
31.94	9.5
39.68	24.7
40.00	47.9
46.98	29.4
47.52	13.9
57.37	7.5
63.60	13.2
72.22	13.6
72.86	6.5

Structural model:
Cell: 7.790 7.790 7.790 Å, 131.30 131.30 71.34°
Element x y z (fractional)
Cd 0.000 0.000 0.000
In 0.250 0.750 0.500
In 0.500 0.500 0.000
Te 0.094 0.137 0.505
Te 0.411 0.906 0.043
Te 0.632 0.589 0.495
Te 0.863 0.368 0.957


Structure and simulated XRD peak list of Cd3In2Te6 (DFT lattice parameters and positions (PBE); Cu Ka).
Peak positions follow from Bragg's law for the DFT cell and can differ from measured ones.

Largest 10 diffraction maxima, low angle first, 2θ from 10° to 80°:
2theta	I/Imax
23.78	100.0
39.05	13.0
39.21	37.6
39.61	23.8
45.88	8.2
46.01	7.8
46.63	7.3
46.76	21.5
62.35	6.1
71.67	6.5

Structural model:
Cell: 8.011 8.011 9.185 Å, 107.74 107.74 47.31°
Element x y z (fractional)
Cd 0.000 0.000 0.000
Cd 0.305 0.376 0.177
Cd 0.624 0.695 0.823
In 0.288 0.381 0.661
In 0.619 0.712 0.339
Te 0.192 0.803 0.723
Te 0.197 0.808 0.277
Te 0.551 0.117 0.915
Te 0.584 0.107 0.428
Te 0.883 0.449 0.085
Te 0.893 0.416 0.572


Structure and simulated XRD peak list of Tm2CdIn (DFT lattice parameters and positions (PBE); Cu Ka).
Peak positions follow from Bragg's law for the DFT cell and can differ from measured ones.

Largest 8 diffraction maxima, low angle first, 2θ from 10° to 80°:
2theta	I/Imax
24.00	4.0
34.20	100.0
42.22	1.3
49.15	17.9
55.41	1.9
61.24	36.6
72.05	11.3
77.19	1.0

Structural model:
Cell: 5.243 5.243 5.243 Å, 60.00 60.00 60.00°
Element x y z (fractional)
Tm 0.250 0.250 0.250
Tm 0.750 0.750 0.750
Cd 0.000 0.000 0.000
In 0.500 0.500 0.500


Structure and simulated XRD peak list of Cd3Ir (DFT lattice parameters and positions (PBE); Cu Ka).
Peak positions follow from Bragg's law for the DFT cell and can differ from measured ones.

Largest 10 diffraction maxima, low angle first, 2θ from 10° to 80°:
2theta	I/Imax
20.14	2.1
23.83	5.7
36.98	100.0
40.94	18.8
43.94	30.6
61.61	21.8
63.89	9.7
71.96	13.7
76.18	23.3
78.73	10.7

Structural model:
Cell: 5.285 5.285 5.285 Å, 134.11 134.11 66.92°
Element x y z (fractional)
Cd 0.000 0.000 0.000
Cd 0.250 0.750 0.500
Cd 0.750 0.250 0.500
Ir 0.500 0.500 0.000


Structure and simulated XRD peak list of Cd3Ir (DFT lattice parameters and positions (PBE); Cu Ka).
Peak positions follow from Bragg's law for the DFT cell and can differ from measured ones.

Largest 10 diffraction maxima, low angle first, 2θ from 10° to 80°:
2theta	I/Imax
21.07	5.7
29.97	4.9
36.92	100.0
42.90	49.0
48.26	2.9
53.21	2.3
62.28	31.5
66.53	1.5
74.65	36.8
78.59	10.7

Structural model:
Cell: 4.217 4.217 4.217 Å, 90.00 90.00 90.00°
Element x y z (fractional)
Cd 0.000 0.000 0.500
Cd 0.000 0.500 0.000
Cd 0.500 0.000 0.000
Ir 0.500 0.500 0.500


Structure and simulated XRD peak list of Cd41Ir8 (DFT lattice parameters and positions (PBE); Cu Ka).
Peak positions follow from Bragg's law for the DFT cell and can differ from measured ones.

Largest 10 diffraction maxima, low angle first, 2θ from 10° to 80°:
2theta	I/Imax
20.16	48.1
20.34	43.4
35.51	52.8
36.72	37.5
37.16	100.0
38.66	37.4
39.10	48.7
39.42	32.1
40.98	99.7
41.35	70.6

Structural model:
Cell: 10.278 10.278 10.278 Å, 94.78 94.78 94.78°
Element x y z (fractional)
Cd 0.000 0.000 0.000
Cd 0.000 0.500 0.500
Cd 0.034 0.404 0.216
Cd 0.049 0.870 0.731
Cd 0.074 0.777 0.450
Cd 0.127 0.682 0.178
Cd 0.130 0.269 0.951
Cd 0.178 0.127 0.682
Cd 0.216 0.034 0.404
Cd 0.223 0.550 0.926
Cd 0.224 0.330 0.463
Cd 0.261 0.611 0.636
Cd 0.269 0.951 0.130
Cd 0.318 0.822 0.873
Cd 0.330 0.463 0.224
Cd 0.364 0.739 0.389
Cd 0.389 0.364 0.739
Cd 0.404 0.216 0.034
Cd 0.450 0.074 0.777
Cd 0.463 0.224 0.330
Cd 0.500 0.000 0.500
Cd 0.500 0.500 0.000
Cd 0.500 0.500 0.500
Cd 0.537 0.776 0.670
Cd 0.550 0.926 0.223
Cd 0.596 0.784 0.966
Cd 0.611 0.636 0.261
Cd 0.636 0.261 0.611
Cd 0.670 0.537 0.776
Cd 0.682 0.178 0.127
Cd 0.731 0.049 0.870
Cd 0.739 0.389 0.364
Cd 0.776 0.670 0.537
Cd 0.777 0.450 0.074
Cd 0.784 0.966 0.596
Cd 0.822 0.873 0.318
Cd 0.870 0.731 0.049
Cd 0.873 0.318 0.822
Cd 0.926 0.223 0.550
Cd 0.951 0.130 0.269
Cd 0.966 0.596 0.784
Ir 0.111 0.383 0.714
Ir 0.195 0.195 0.195
Ir 0.286 0.889 0.617
Ir 0.383 0.714 0.111
Ir 0.617 0.286 0.889
Ir 0.714 0.111 0.383
Ir 0.805 0.805 0.805
Ir 0.889 0.617 0.286